Structure and simulated powder diffraction line list of Li4V3Co3Te2O16 (a PBE+U-relaxed structure; λ = 1.5418 Å (Cu Kα)).

Structural model:
```
Li4V3Co3Te2O16
1.0
5.191 -2.876 0.000
5.191 2.876 0.000
-0.098 0.000 10.370
Li V Co Te O
4 3 3 2 16
direct
0.000 0.000 0.000 Li
0.004 0.004 0.506 Li
0.346 0.346 0.917 Li
0.669 0.669 0.418 Li
0.168 0.645 0.235 V
0.645 0.168 0.235 V
0.826 0.826 0.748 V
0.183 0.183 0.221 Co
0.370 0.820 0.729 Co
0.820 0.370 0.729 Co
0.335 0.335 0.529 Te
0.658 0.658 0.013 Te
0.001 0.001 0.315 O
0.019 0.520 0.332 O
0.168 0.168 0.617 O
0.174 0.675 0.618 O
0.326 0.836 0.110 O
0.354 0.354 0.114 O
0.493 0.493 0.335 O
0.520 0.019 0.332 O
0.526 0.526 0.865 O
0.534 0.991 0.843 O
0.675 0.174 0.618 O
0.695 0.695 0.616 O
0.836 0.326 0.110 O
0.856 0.856 0.123 O
0.991 0.534 0.843 O
0.993 0.993 0.811 O
```

Most intense lines, 2θ = 10–80°, low angle first:
d 5.186, 17.10°, intensity 36.8
d 4.659, 19.05°, intensity 28.4
d 4.624, 19.19°, intensity 29.4
d 4.527, 19.61°, intensity 100.0
d 3.602, 24.71°, intensity 26.2
d 2.855, 31.33°, intensity 36.3
d 2.583, 34.73°, intensity 29.7
d 2.565, 34.98°, intensity 30.3
d 2.515, 35.70°, intensity 44.5
d 2.445, 36.76°, intensity 38.5
d 1.597, 57.73°, intensity 31.7
d 1.482, 62.67°, intensity 26.9